Structure and simulated X-ray diffraction stick pattern of Ce3Hg3S8 (a DFT-relaxed cell (PBE, Alexandria); Cu Kα, 1.54184 Å).

Structure:
```
Ce3Hg3S8
1.0
4.1880 2.4179 6.2381
-4.1880 2.4179 6.2381
0.0000 -4.8358 6.2381
Ce Hg S
3 3 8
direct
0.0000 0.5000 0.5000
0.5000 0.0000 0.5000
0.5000 0.5000 0.0000
0.1119 0.1119 0.1119
0.5000 0.5000 0.5000
0.8881 0.8881 0.8881
0.2537 0.2537 0.7295
0.2537 0.7295 0.2537
0.2575 0.2575 0.2575
0.2705 0.7463 0.7463
0.7295 0.2537 0.2537
0.7425 0.7425 0.7425
0.7463 0.2705 0.7463
0.7463 0.7463 0.2705
```

Main lines, sorted by position (5 to 70 degrees two-theta):
2theta, Rel. int.
21.21, 564
22.62, 239
25.01, 485
25.62, 1000
26.35, 267
26.80, 760
31.20, 266
39.99, 317
40.80, 565
43.20, 692
46.18, 503
51.58, 261